# Y2Ta2InRh5
Simulated powder XRD pattern, Cu Kα (weighted mean of Kα1 and Kα2). Input: a PBE-relaxed structure.
Peak positions follow from Bragg's law for the DFT cell and can differ from measured ones.

Principal peaks in the range 10° ≤ 2θ ≤ 90°, in order of rising 2θ:
Position (°2θ), I (rel.), hkl
18.45, 36, 2 1 0
35.42, 29, 3 3 0
36.09, 20, 2 2 1
38.04, 100, 3 1 1
40.82, 32, 3 2 1
43.46, 29, 4 0 1

Cell and atoms:
abc: 10.752 10.752 3.293
angles: 90.00 90.00 90.00
Space group P4/mbm (No. 127)
Inequivalent atoms, fractional coordinates:
Y  0.172  0.328  0.000 (multiplicity 4)
Ta  0.135  0.635  0.000 (multiplicity 4)
In  0.000  0.000  0.000 (multiplicity 2)
Rh  0.000  0.500  0.500 (multiplicity 2)
Rh  0.048  0.796  0.500 (multiplicity 8)

# Tb6In2Rh
Simulated powder XRD pattern, Cu Kα (weighted mean of Kα1 and Kα2). Input: a PBE-relaxed structure.
Peak positions follow from Bragg's law for the DFT cell and can differ from measured ones.

Principal peaks in the range 10° ≤ 2θ ≤ 90°, in order of rising 2θ:
Position (°2θ), I (rel.), hkl
31.18, 100, 1 0 2
31.39, 69, 0 5 1
33.42, 69, 1 2 2
35.73, 42, 0 3 3
39.47, 35, 1 5 1
58.60, 34, 1 8 2

Cell and atoms:
abc: 3.815 15.072 8.709
angles: 90.00 90.00 90.00
Space group Amm2 (No. 38)
Inequivalent atoms, fractional coordinates:
Tb  0.000  0.000  0.000 (multiplicity 2)
Tb  0.000  0.121  0.635 (multiplicity 4)
Tb  0.500  0.000  0.361 (multiplicity 2)
Tb  0.500  0.197  0.954 (multiplicity 4)
In  0.000  0.167  0.256 (multiplicity 4)
Rh  0.500  0.000  0.757 (multiplicity 2)

# InTeRh2W
Simulated powder XRD pattern, Cu Kα (weighted mean of Kα1 and Kα2). Input: a PBE-relaxed structure.
Peak positions follow from Bragg's law for the DFT cell and can differ from measured ones.

Principal peaks in the range 10° ≤ 2θ ≤ 90°, in order of rising 2θ:
Position (°2θ), I (rel.), hkl
24.81, 42, 1 0 1
31.09, 100, 1 1 1
33.22, 56, 0 0 2
37.40, 82, 2 0 0
50.88, 67, 2 0 2
64.83, 32, 2 2 2

Cell and atoms:
abc: 4.809 4.809 5.394
angles: 90.00 90.00 90.00
Space group P4/mmm (No. 123)
Inequivalent atoms, fractional coordinates:
In  0.000  0.000  0.000 (multiplicity 1)
Te  0.000  0.000  0.500 (multiplicity 1)
Rh  0.000  0.500  0.500 (multiplicity 2)
W  0.500  0.500  0.000 (multiplicity 1)

# Th6In2Rh
Simulated powder XRD pattern, Cu Kα (weighted mean of Kα1 and Kα2). Input: a PBE-relaxed structure.
Peak positions follow from Bragg's law for the DFT cell and can differ from measured ones.

Principal peaks in the range 10° ≤ 2θ ≤ 90°, in order of rising 2θ:
Position (°2θ), I (rel.), hkl
30.53, 75, 2 1 0
31.01, 100, 1 1 1
33.15, 65, 2 0 1
34.74, 35, 3 0 0
57.31, 35, 3 2 1
58.17, 25, 2 1 2

Cell and atoms:
abc: 8.9450 8.9450 3.7730
angles: 90.00 90.00 120.00
Space group P-62m (No. 189)
Inequivalent atoms, fractional coordinates:
Th  0.0000  0.4020  0.0000 (multiplicity 3)
Th  0.0000  0.7502  0.5000 (multiplicity 3)
In  0.3333  0.6667  0.5000 (multiplicity 2)
Rh  0.0000  0.0000  0.0000 (multiplicity 1)

# Th6In3Rh
Simulated powder XRD pattern, Cu Kα (weighted mean of Kα1 and Kα2). Input: a PBE-relaxed structure.
Peak positions follow from Bragg's law for the DFT cell and can differ from measured ones.

Principal peaks in the range 10° ≤ 2θ ≤ 90°, in order of rising 2θ:
Position (°2θ), I (rel.), hkl
27.36, 21, 3 0 0
31.99, 100, 0 3 3
32.86, 16, 0 0 6
43.26, 15, 3 0 6
48.37, 25, 3 3 0
59.17, 16, 6 0 3

Cell and atoms:
abc: 11.2900 11.2900 16.3599
angles: 90.00 90.00 120.00
Space group R-3m (No. 166, hexagonal axes)
Inequivalent atoms, fractional coordinates:
Th  0.1033  0.5517  0.2689 (multiplicity 18)
Th  0.1081  0.5540  0.5657 (multiplicity 18)
In  0.0775  0.5388  0.9162 (multiplicity 18)
Rh  0.0000  0.0000  0.0000 (multiplicity 3)
Rh  0.0000  0.0000  0.5000 (multiplicity 3)

# ThIn9Rh2
Simulated powder XRD pattern, Cu Kα (weighted mean of Kα1 and Kα2). Input: a PBE-relaxed structure.
Peak positions follow from Bragg's law for the DFT cell and can differ from measured ones.

Principal peaks in the range 10° ≤ 2θ ≤ 90°, in order of rising 2θ:
Position (°2θ), I (rel.), hkl
28.82, 27, 3 2 1
32.40, 50, 4 2 0
33.74, 100, 3 1 2
37.96, 21, 1 0 3
38.49, 45, 5 0 1
41.30, 20, 4 4 0

Cell and atoms:
abc: 12.357 12.357 7.246
angles: 90.00 90.00 90.00
Space group I4_1/amd (No. 141, origin choice 2)
Inequivalent atoms, fractional coordinates:
Th  0.000  0.250  0.375 (multiplicity 4)
In  0.000  0.250  0.875 (multiplicity 4)
In  0.120  0.066  0.672 (multiplicity 32)
Rh  0.000  0.000  0.000 (multiplicity 8)

# ThIn3Rh3
Simulated powder XRD pattern, Cu Kα (weighted mean of Kα1 and Kα2). Input: a PBE-relaxed structure.
Peak positions follow from Bragg's law for the DFT cell and can differ from measured ones.

Principal peaks in the range 10° ≤ 2θ ≤ 90°, in order of rising 2θ:
Position (°2θ), I (rel.), hkl
17.92, 32, 1 0 1
34.04, 85, 2 1 1
36.30, 100, 2 0 2
41.03, 72, 2 2 0
45.10, 28, 1 3 1
55.71, 28, 0 3 3

Cell and atoms:
abc: 8.8001 8.8001 6.5091
angles: 90.00 90.00 120.00
Space group R3m (No. 160, hexagonal axes)
Inequivalent atoms, fractional coordinates:
Th  0.0000  0.0000  0.0000 (multiplicity 3)
In  0.2036  0.4073  0.2239 (multiplicity 9)
Rh  0.0037  0.5019  0.4774 (multiplicity 9)

# Ti12In3Rh
Simulated powder XRD pattern, Cu Kα (weighted mean of Kα1 and Kα2). Input: a PBE-relaxed structure.
Peak positions follow from Bragg's law for the DFT cell and can differ from measured ones.

Principal peaks in the range 10° ≤ 2θ ≤ 90°, in order of rising 2θ:
Position (°2θ), I (rel.), hkl
21.04, 16, 1 0 0
37.75, 100, 1 1 4
42.83, 36, 2 0 0
45.90, 12, 0 0 8
64.58, 16, 2 0 8
75.08, 24, 3 1 4

Cell and atoms:
abc: 4.223 4.223 15.816
angles: 90.00 90.00 90.00
Space group P4/mmm (No. 123)
Inequivalent atoms, fractional coordinates:
Ti  0.000  0.000  0.000 (multiplicity 1)
Ti  0.000  0.000  0.238 (multiplicity 2)
Ti  0.000  0.000  0.500 (multiplicity 1)
Ti  0.000  0.500  0.108 (multiplicity 4)
Ti  0.000  0.500  0.371 (multiplicity 4)
In  0.500  0.500  0.240 (multiplicity 2)
In  0.500  0.500  0.500 (multiplicity 1)
Rh  0.500  0.500  0.000 (multiplicity 1)

# Ti2InRh2
Simulated powder XRD pattern, Cu Kα (weighted mean of Kα1 and Kα2). Input: a PBE-relaxed structure.
Peak positions follow from Bragg's law for the DFT cell and can differ from measured ones.

Principal peaks in the range 10° ≤ 2θ ≤ 90°, in order of rising 2θ:
Position (°2θ), I (rel.), hkl
29.73, 31, 0 0 1
38.30, 89, 3 1 0
38.53, 21, 2 0 1
40.47, 100, 2 1 1
49.22, 36, 3 1 1
75.03, 23, 3 1 2

Cell and atoms:
abc: 7.431 7.431 3.005
angles: 90.00 90.00 90.00
Space group P4/mbm (No. 127)
Inequivalent atoms, fractional coordinates:
Ti  0.161  0.339  0.000 (multiplicity 4)
In  0.000  0.000  0.500 (multiplicity 2)
Rh  0.133  0.633  0.500 (multiplicity 4)

# TiIn2Rh3
Simulated powder XRD pattern, Cu Kα (weighted mean of Kα1 and Kα2). Input: a PBE-relaxed structure.
Peak positions follow from Bragg's law for the DFT cell and can differ from measured ones.

Principal peaks in the range 10° ≤ 2θ ≤ 90°, in order of rising 2θ:
Position (°2θ), I (rel.), hkl
39.25, 100, 1 3 2
41.44, 21, 0 6 0
41.56, 22, 2 0 0
69.59, 16, 2 0 4
74.12, 15, 1 9 2
74.27, 14, 3 3 2

Cell and atoms:
abc: 4.346 13.073 6.893
angles: 90.00 90.00 90.00
Space group Cmmm (No. 65)
Inequivalent atoms, fractional coordinates:
Ti  0.000  0.163  0.000 (multiplicity 4)
In  0.000  0.169  0.500 (multiplicity 4)
In  0.000  0.500  0.000 (multiplicity 2)
In  0.000  0.500  0.500 (multiplicity 2)
Rh  0.000  0.000  0.244 (multiplicity 4)
Rh  0.000  0.328  0.225 (multiplicity 8)

# Tl2InRh2
Simulated powder XRD pattern, Cu Kα (weighted mean of Kα1 and Kα2). Input: a PBE-relaxed structure.
Peak positions follow from Bragg's law for the DFT cell and can differ from measured ones.

Principal peaks in the range 10° ≤ 2θ ≤ 90°, in order of rising 2θ:
Position (°2θ), I (rel.), hkl
36.30, 100, 2 1 1
39.75, 36, 3 1 0
46.68, 15, 0 0 2
58.09, 12, 4 1 1
62.94, 19, 3 1 2
75.45, 17, 5 2 1

Cell and atoms:
abc: 7.172 7.172 3.892
angles: 90.00 90.00 90.00
Space group P4/mbm (No. 127)
Inequivalent atoms, fractional coordinates:
Tl  0.156  0.344  0.000 (multiplicity 4)
In  0.000  0.000  0.500 (multiplicity 2)
Rh  0.147  0.647  0.500 (multiplicity 4)

# Tm4In3Rh
Simulated powder XRD pattern, Cu Kα (weighted mean of Kα1 and Kα2). Input: a PBE-relaxed structure.
Peak positions follow from Bragg's law for the DFT cell and can differ from measured ones.

Principal peaks in the range 10° ≤ 2θ ≤ 90°, in order of rising 2θ:
Position (°2θ), I (rel.), hkl
34.22, 100, 1 0 4
36.65, 47, 1 1 0
52.79, 17, 2 0 0
59.65, 14, 1 1 8
64.43, 32, 2 1 4
70.16, 8, 1 0 11

Cell and atoms:
abc: 3.468 3.468 16.003
angles: 90.00 90.00 90.00
Space group P4/mmm (No. 123)
Inequivalent atoms, fractional coordinates:
Tm  0.000  0.000  0.101 (multiplicity 2)
Tm  0.000  0.000  0.368 (multiplicity 2)
In  0.500  0.500  0.238 (multiplicity 2)
In  0.500  0.500  0.500 (multiplicity 1)
Rh  0.500  0.500  0.000 (multiplicity 1)